Entry 1:
For La6Al3S14, a DFT-relaxed cell (PBE, Alexandria) gives the calculated powder XRD pattern in this record (Cu Ka).

Crystal structure
a b c (Å): 10.2549 10.2549 5.9438
angles (deg): 90.00 90.00 120.00
Space group P3 (No. 143)
Symmetry-distinct sites (fractional):
La  0.0343  0.5668  0.0000 [3 per cell]
La  0.2970  0.0973  0.4966 [3 per cell]
Al  0.0000  0.0000  0.9173 [1 per cell]
Al  0.3333  0.6667  0.4165 [1 per cell]
Al  0.6667  0.3333  0.2639 [1 per cell]
S  0.0000  0.0000  0.2905 [1 per cell]
S  0.0805  0.8487  0.7708 [3 per cell]
S  0.1853  0.4349  0.2696 [3 per cell]
S  0.3333  0.6667  0.7904 [1 per cell]
S  0.4357  0.1875  0.0362 [3 per cell]
S  0.5176  0.4158  0.4909 [3 per cell]

Peak list (12 most intense, 10° ≤ 2θ ≤ 90°, sorted by position)
2θ = 17.96°, d 4.940, I 41.9, (0 1 1)
2θ = 20.00°, d 4.441, I 26.4, (2 0 0)
2θ = 22.91°, d 3.882, I 40.0, (2 -1 1)
2θ = 25.03°, d 3.557, I 100.0, (0 2 1)
2θ = 26.55°, d 3.357, I 31.5, (1 2 0)
2θ = 33.83°, d 2.650, I 37.1, (3 0 1)
2θ = 35.00°, d 2.564, I 26.8, (2 2 0)
2θ = 36.38°, d 2.470, I 34.2, (2 0 2)
2θ = 36.48°, d 2.463, I 33.9, (1 3 0)
2θ = 39.61°, d 2.275, I 55.0, (3 1 1)
2θ = 40.56°, d 2.224, I 49.3, (1 2 2)
2θ = 49.47°, d 1.843, I 29.5, (1 4 1)



Entry 2:
For La3Al3Si, a DFT-relaxed cell (PBE, Alexandria) gives the calculated powder XRD pattern in this record (Cu Ka).

Crystal structure
a b c (Å): 4.282 4.498 19.416
angles (deg): 90.00 90.00 90.00
Space group Imm2 (No. 44)
Symmetry-distinct sites (fractional):
La  0.000  0.000  0.000 [2 per cell]
La  0.000  0.000  0.368 [2 per cell]
La  0.000  0.500  0.679 [2 per cell]
Al  0.000  0.000  0.546 [2 per cell]
Al  0.000  0.000  0.819 [2 per cell]
Al  0.000  0.500  0.246 [2 per cell]
Si  0.000  0.500  0.118 [2 per cell]

Peak list (12 most intense, 10° ≤ 2θ ≤ 90°, sorted by position)
2θ = 20.27°, d 4.382, I 23.9, (0 1 1)
2θ = 24.93°, d 3.571, I 64.5, (1 0 3)
2θ = 27.56°, d 3.236, I 25.7, (0 0 6)
2θ = 30.26°, d 2.954, I 100.0, (1 1 2)
2θ = 30.41°, d 2.939, I 64.7, (0 1 5)
2θ = 34.31°, d 2.613, I 23.0, (1 1 4)
2θ = 40.10°, d 2.249, I 23.0, (0 2 0)
2θ = 42.21°, d 2.141, I 19.9, (2 0 0)
2θ = 47.58°, d 1.911, I 19.4, (1 1 8)
2θ = 47.80°, d 1.903, I 22.5, (1 2 3)
2θ = 52.91°, d 1.730, I 27.0, (2 1 5)
2θ = 66.87°, d 1.399, I 25.0, (0 3 5)